Structure and computed X-ray diffraction stick pattern of RbHoMo2O8 (DFT lattice parameters and positions (PBE+U); Cu Kα, 1.54184 Å).
Kinematic intensities with the Lorentz-polarization factor, no thermal factor.

Main lines, by angle (15° ≤ 2θ ≤ 90°):
2θ (°), Rel. int.
27.7, 100
27.8, 22
28.7, 78
30.4, 38
33.1, 13
34.0, 12
46.5, 18
51.3, 13
53.6, 17
55.3, 13

Structure:
```
RbHoMo2O8
1.0
5.420 -5.228 0.000
5.420 5.228 0.000
-5.097 0.000 5.872
Rb Ho Mo O
2 2 4 16
Cartesian
1.597 3.194 4.404 Rb
4.146 -3.194 1.468 Rb
4.146 2.842 1.468 Ho
1.597 -2.842 4.404 Ho
-0.587 0.010 4.491 Mo
1.962 -0.010 1.555 Mo
3.781 0.010 4.317 Mo
6.330 -0.010 1.381 Mo
-2.144 0.857 4.112 O
1.783 1.625 0.710 O
0.404 -0.857 1.176 O
0.493 0.810 3.322 O
5.006 1.140 0.208 O
-0.765 -1.625 3.646 O
3.041 -0.810 0.386 O
3.285 1.140 2.728 O
2.458 -1.140 3.144 O
2.702 0.810 5.486 O
6.508 1.625 2.226 O
0.737 -1.140 5.664 O
5.250 -0.810 2.550 O
5.339 0.857 4.696 O
3.960 -1.625 5.162 O
7.887 -0.857 1.760 O
```